# 1
This entry pairs a crystal structure of CrMoF6 with its computed powder XRD pattern. Radiation: Cu Kα (λ = 1.5418 Å). Structure: a GGA+U-relaxed structure.
Peak positions follow from Bragg's law for the DFT cell and can differ from measured ones.

Structure:
```
data_CrMoF6
_chemical_formula_sum 'Cr1 Mo1 F6'
_space_group_name_H-M_alt 'P 1'
_space_group_IT_number 1
_cell_length_a 5.6263
_cell_length_b 5.6267
_cell_length_c 5.6434
_cell_angle_alpha 118.56
_cell_angle_beta 118.43
_cell_angle_gamma 90.24
loop_
_space_group_symop_operation_xyz
'x,y,z'
loop_
_atom_site_label
_atom_site_type_symbol
_atom_site_fract_x
_atom_site_fract_y
_atom_site_fract_z
Cr1 Cr 0.0000 0.0000 0.0000
Mo1 Mo 0.5000 0.5000 0.0000
F1 F 0.1777 0.2625 0.9387
F2 F 0.2537 0.7454 0.9235
F3 F 0.3398 0.2581 0.5349
F4 F 0.6602 0.7419 0.4651
F5 F 0.7463 0.2546 0.0765
F6 F 0.8223 0.7375 0.0613
```

The 8 most intense peaks (2θ from 10° to 90°), in order of rising 2θ:
4.158 Å, rel. 100; 3.987 Å, rel. 86; 3.968 Å, rel. 88; 2.878 Å, rel. 29; 2.814 Å, rel. 37; 2.079 Å, rel. 23; 1.984 Å, rel. 20; 1.843 Å, rel. 19

# 2
This entry pairs a crystal structure of MgCd2Te2Mo2O12 with its computed powder XRD pattern. Radiation: Cu Kα (λ = 1.5418 Å). Structure: a GGA+U-relaxed structure.
Peak positions follow from Bragg's law for the DFT cell and can differ from measured ones.

Structure:
```
data_MgCd2Te2Mo2O12
_chemical_formula_sum 'Mg1 Cd2 Te2 Mo2 O12'
_space_group_name_H-M_alt 'P 1'
_space_group_IT_number 1
_cell_length_a 5.3728
_cell_length_b 10.3347
_cell_length_c 5.4311
_cell_angle_alpha 90.00
_cell_angle_beta 95.83
_cell_angle_gamma 90.00
loop_
_space_group_symop_operation_xyz
'x,y,z'
loop_
_atom_site_label
_atom_site_type_symbol
_atom_site_fract_x
_atom_site_fract_y
_atom_site_fract_z
Mg1 Mg 0.0000 0.0000 0.0000
Cd1 Cd 0.0000 0.5651 0.0000
Cd2 Cd 0.5000 0.5534 0.5000
Te1 Te 0.0000 0.7698 0.5000
Te2 Te 0.5000 0.3092 0.0000
Mo1 Mo 0.0000 0.2271 0.5000
Mo2 Mo 0.5000 0.7932 0.0000
O1 O 0.1269 0.1282 0.2760
O2 O 0.2103 0.6469 0.7073
O3 O 0.2431 0.3252 0.6694
O4 O 0.2624 0.9169 0.8428
O5 O 0.2678 0.7219 0.2456
O6 O 0.3013 0.4224 0.1674
O7 O 0.6987 0.4224 0.8326
O8 O 0.7322 0.7219 0.7544
O9 O 0.7376 0.9169 0.1572
O10 O 0.7569 0.3252 0.3306
O11 O 0.7897 0.6469 0.2927
O12 O 0.8731 0.1282 0.7240
```

The 8 most intense peaks (2θ from 10° to 90°), in order of rising 2θ:
5.167 Å, rel. 19; 3.736 Å, rel. 27; 3.167 Å, rel. 100; 2.965 Å, rel. 79; 2.701 Å, rel. 23; 2.673 Å, rel. 21; 2.004 Å, rel. 19; 1.867 Å, rel. 20

# 3
This entry pairs a crystal structure of NdMgCuW2O8 with its computed powder XRD pattern. Radiation: Cu Kα (λ = 1.5418 Å). Structure: a GGA+U-relaxed structure.
Peak positions follow from Bragg's law for the DFT cell and can differ from measured ones.

Structure:
```
data_NdMgCuW2O8
_chemical_formula_sum 'Nd1 Mg1 Cu1 W2 O8'
_space_group_name_H-M_alt 'P 1'
_space_group_IT_number 1
_cell_length_a 5.3448
_cell_length_b 6.2042
_cell_length_c 6.2752
_cell_angle_alpha 106.84
_cell_angle_beta 91.92
_cell_angle_gamma 114.02
loop_
_space_group_symop_operation_xyz
'x,y,z'
loop_
_atom_site_label
_atom_site_type_symbol
_atom_site_fract_x
_atom_site_fract_y
_atom_site_fract_z
Nd1 Nd 0.0000 0.0000 0.0000
Mg1 Mg 0.7026 0.3909 0.8558
Cu1 Cu 0.4588 0.9311 0.4636
W1 W 0.2333 0.4525 0.6384
W2 W 0.7361 0.4678 0.3478
O1 O 0.4519 0.2431 0.5272
O2 O 0.4826 0.6374 0.4409
O3 O 0.4851 0.2120 0.0620
O4 O 0.5163 0.6541 0.8859
O5 O 0.9274 0.6711 0.1852
O6 O 0.9477 0.2573 0.3384
O7 O 0.9687 0.2329 0.7870
O8 O 0.9759 0.6333 0.6798
```

The 8 most intense peaks (2θ from 10° to 90°), in order of rising 2θ:
5.345 Å, rel. 42; 4.847 Å, rel. 51; 3.497 Å, rel. 73; 3.446 Å, rel. 100; 3.050 Å, rel. 75; 2.959 Å, rel. 54; 2.671 Å, rel. 82; 1.973 Å, rel. 35

# 4
This entry pairs a crystal structure of Li9Mn2Co5O16 with its computed powder XRD pattern. Radiation: Cu Kα (λ = 1.5418 Å). Structure: a GGA+U-relaxed structure.
Peak positions follow from Bragg's law for the DFT cell and can differ from measured ones.

Structure:
```
data_Li9Mn2Co5O16
_chemical_formula_sum 'Li9 Mn2 Co5 O16'
_space_group_name_H-M_alt 'P 1'
_space_group_IT_number 1
_cell_length_a 5.9252
_cell_length_b 6.4422
_cell_length_c 7.8868
_cell_angle_alpha 88.81
_cell_angle_beta 76.22
_cell_angle_gamma 75.21
loop_
_space_group_symop_operation_xyz
'x,y,z'
loop_
_atom_site_label
_atom_site_type_symbol
_atom_site_fract_x
_atom_site_fract_y
_atom_site_fract_z
Li1 Li 0.0000 0.0000 0.0000
Li2 Li 0.0000 0.5000 0.5000
Li3 Li 0.1272 0.3691 0.1255
Li4 Li 0.2473 0.2428 0.7570
Li5 Li 0.3703 0.1276 0.3695
Li6 Li 0.5000 0.0000 0.0000
Li7 Li 0.6297 0.8724 0.6305
Li8 Li 0.7527 0.7572 0.2430
Li9 Li 0.8728 0.6309 0.8745
Mn1 Mn 0.2460 0.7505 0.2468
Mn2 Mn 0.7540 0.2495 0.7532
Co1 Co 0.1290 0.8769 0.6326
Co2 Co 0.3759 0.6285 0.8742
Co3 Co 0.5000 0.5000 0.5000
Co4 Co 0.6241 0.3715 0.1258
Co5 Co 0.8710 0.1231 0.3674
O1 O 0.0555 0.1766 0.5792
O2 O 0.0963 0.6871 0.0693
O3 O 0.1774 0.0528 0.2025
O4 O 0.2000 0.5742 0.6720
O5 O 0.3171 0.9152 0.8122
O6 O 0.3233 0.4487 0.3059
O7 O 0.4094 0.7982 0.4330
O8 O 0.4462 0.3233 0.9216
O9 O 0.5538 0.6767 0.0784
O10 O 0.5906 0.2018 0.5670
O11 O 0.6767 0.5513 0.6941
O12 O 0.6829 0.0848 0.1878
O13 O 0.8000 0.4258 0.3280
O14 O 0.8226 0.9472 0.7975
O15 O 0.9037 0.3129 0.9307
O16 O 0.9445 0.8234 0.4208
```

The 8 most intense peaks (2θ from 10° to 90°), in order of rising 2θ:
4.807 Å, rel. 100; 2.564 Å, rel. 19; 2.443 Å, rel. 24; 2.149 Å, rel. 31; 2.029 Å, rel. 26; 2.024 Å, rel. 25; 1.479 Å, rel. 7; 1.473 Å, rel. 22

# 5
This entry pairs a crystal structure of MgNi4O8 with its computed powder XRD pattern. Radiation: Cu Kα (λ = 1.5418 Å). Structure: a GGA+U-relaxed structure.
Peak positions follow from Bragg's law for the DFT cell and can differ from measured ones.

Structure:
```
data_MgNi4O8
_chemical_formula_sum 'Mg1 Ni4 O8'
_space_group_name_H-M_alt 'P 1'
_space_group_IT_number 1
_cell_length_a 5.8104
_cell_length_b 5.8104
_cell_length_c 5.8104
_cell_angle_alpha 121.51
_cell_angle_beta 121.21
_cell_angle_gamma 87.66
loop_
_space_group_symop_operation_xyz
'x,y,z'
loop_
_atom_site_label
_atom_site_type_symbol
_atom_site_fract_x
_atom_site_fract_y
_atom_site_fract_z
Mg1 Mg 0.0000 0.0000 0.0000
Ni1 Ni 0.3651 0.1187 0.7536
Ni2 Ni 0.3651 0.6116 0.2464
Ni3 Ni 0.3649 0.6122 0.7526
Ni4 Ni 0.8596 0.6122 0.2474
O1 O 0.1378 0.4159 0.2781
O2 O 0.1378 0.8597 0.7219
O3 O 0.1406 0.8616 0.2790
O4 O 0.1489 0.3629 0.7859
O5 O 0.5770 0.3629 0.2141
O6 O 0.5825 0.8616 0.7210
O7 O 0.5861 0.3644 0.7783
O8 O 0.5861 0.8078 0.2217
```

The 8 most intense peaks (2θ from 10° to 90°), in order of rising 2θ:
4.709 Å, rel. 100; 2.508 Å, rel. 23; 2.438 Å, rel. 20; 2.432 Å, rel. 21; 2.350 Å, rel. 9; 2.096 Å, rel. 19; 2.012 Å, rel. 34; 1.451 Å, rel. 25

# 6
This entry pairs a crystal structure of CrO2 with its computed powder XRD pattern. Radiation: Cu Kα (λ = 1.5418 Å). Structure: a GGA+U-relaxed structure.
Peak positions follow from Bragg's law for the DFT cell and can differ from measured ones.

Structure:
```
data_CrO2
_chemical_formula_sum 'Cr16 O32'
_space_group_name_H-M_alt 'P 1'
_space_group_IT_number 1
_cell_length_a 5.8063
_cell_length_b 5.8063
_cell_length_c 19.1711
_cell_angle_alpha 98.42
_cell_angle_beta 98.42
_cell_angle_gamma 62.25
loop_
_space_group_symop_operation_xyz
'x,y,z'
loop_
_atom_site_label
_atom_site_type_symbol
_atom_site_fract_x
_atom_site_fract_y
_atom_site_fract_z
Cr1 Cr 0.0000 0.0000 0.0000
Cr2 Cr 0.0272 0.5467 0.5954
Cr3 Cr 0.0321 0.5282 0.0908
Cr4 Cr 0.1550 0.1550 0.4622
Cr5 Cr 0.2516 0.2516 0.7500
Cr6 Cr 0.2706 0.8008 0.3409
Cr7 Cr 0.2804 0.7809 0.8429
Cr8 Cr 0.3081 0.3081 0.9328
Cr9 Cr 0.4057 0.4057 0.2080
Cr10 Cr 0.5065 0.5065 0.4954
Cr11 Cr 0.5282 0.0321 0.0908
Cr12 Cr 0.5467 0.0272 0.5954
Cr13 Cr 0.5639 0.5639 0.6888
Cr14 Cr 0.7569 0.7569 0.2468
Cr15 Cr 0.7809 0.2804 0.8429
Cr16 Cr 0.8008 0.2706 0.3409
O1 O 0.0819 0.0819 0.2880
O2 O 0.0932 0.0932 0.7856
O3 O 0.1049 0.6048 0.2755
O4 O 0.1142 0.5731 0.7805
O5 O 0.2208 0.6725 0.1526
O6 O 0.2305 0.2305 0.6554
O7 O 0.2310 0.2310 0.1470
O8 O 0.2478 0.6905 0.6574
O9 O 0.3122 0.8685 0.0294
O10 O 0.3300 0.3300 0.0265
O11 O 0.3406 0.3406 0.5328
O12 O 0.3626 0.8547 0.5282
O13 O 0.4226 0.9701 0.4055
O14 O 0.4479 0.9850 0.9038
O15 O 0.4674 0.4674 0.8998
O16 O 0.4810 0.4810 0.4006
O17 O 0.5731 0.1142 0.7805
O18 O 0.5854 0.5854 0.7831
O19 O 0.5896 0.5896 0.2793
O20 O 0.6048 0.1049 0.2755
O21 O 0.6725 0.2208 0.1526
O22 O 0.6905 0.2478 0.6574
O23 O 0.7171 0.7171 0.6525
O24 O 0.7264 0.7264 0.1498
O25 O 0.8460 0.8460 0.5485
O26 O 0.8475 0.8475 0.0336
O27 O 0.8547 0.3626 0.5282
O28 O 0.8685 0.3122 0.0294
O29 O 0.9701 0.4226 0.4055
O30 O 0.9767 0.9767 0.9057
O31 O 0.9802 0.9802 0.3999
O32 O 0.9850 0.4479 0.9038
```

The 8 most intense peaks (2θ from 10° to 90°), in order of rising 2θ:
4.686 Å, rel. 60; 2.901 Å, rel. 34; 2.882 Å, rel. 38; 2.531 Å, rel. 100; 2.463 Å, rel. 33; 2.079 Å, rel. 32; 1.459 Å, rel. 29; 1.450 Å, rel. 28

# 7
This entry pairs a crystal structure of Li9Mn2Co5O16 with its computed powder XRD pattern. Radiation: Cu Kα (λ = 1.5418 Å). Structure: a GGA+U-relaxed structure.
Peak positions follow from Bragg's law for the DFT cell and can differ from measured ones.

Structure:
```
data_Li9Mn2Co5O16
_chemical_formula_sum 'Li9 Mn2 Co5 O16'
_space_group_name_H-M_alt 'P 1'
_space_group_IT_number 1
_cell_length_a 5.1092
_cell_length_b 7.6897
_cell_length_c 7.7999
_cell_angle_alpha 98.74
_cell_angle_beta 101.48
_cell_angle_gamma 102.70
loop_
_space_group_symop_operation_xyz
'x,y,z'
loop_
_atom_site_label
_atom_site_type_symbol
_atom_site_fract_x
_atom_site_fract_y
_atom_site_fract_z
Li1 Li 0.0000 0.0000 0.0000
Li2 Li 0.0001 0.2524 0.7536
Li3 Li 0.0028 0.6235 0.8771
Li4 Li 0.0060 0.5097 0.4979
Li5 Li 0.0105 0.3823 0.1365
Li6 Li 0.4994 0.6277 0.3778
Li7 Li 0.9921 0.8759 0.6248
Li8 Li 0.9991 0.1259 0.3766
Li9 Li 0.9988 0.7446 0.2590
Mn1 Mn 0.4985 0.2535 0.2534
Mn2 Mn 0.5028 0.8764 0.1308
Co1 Co 0.4951 0.3831 0.6230
Co2 Co 0.4994 0.5040 0.0098
Co3 Co 0.4988 0.9990 0.5016
Co4 Co 0.5004 0.7501 0.7430
Co5 Co 0.5123 0.1290 0.8746
O1 O 0.2634 0.5007 0.7554
O2 O 0.2691 0.7715 0.5142
O3 O 0.2700 0.0059 0.2397
O4 O 0.2701 0.3651 0.3762
O5 O 0.2743 0.6374 0.1190
O6 O 0.2758 0.2543 0.0195
O7 O 0.2849 0.1289 0.6307
O8 O 0.2917 0.8819 0.8892
O9 O 0.7137 0.2395 0.4855
O10 O 0.7148 0.8834 0.3654
O11 O 0.7225 0.1198 0.1300
O12 O 0.7267 0.3729 0.8807
O13 O 0.7313 0.7565 0.0119
O14 O 0.7338 0.4826 0.2490
O15 O 0.7342 0.6214 0.6407
O16 O 0.7481 0.0030 0.7530
```

The 8 most intense peaks (2θ from 10° to 90°), in order of rising 2θ:
4.837 Å, rel. 100; 2.524 Å, rel. 15; 2.481 Å, rel. 26; 2.108 Å, rel. 29; 2.062 Å, rel. 54; 1.913 Å, rel. 9; 1.478 Å, rel. 8; 1.469 Å, rel. 15

# 8
This entry pairs a crystal structure of Fe4O3F5 with its computed powder XRD pattern. Radiation: Cu Kα (λ = 1.5418 Å). Structure: a GGA+U-relaxed structure.
Peak positions follow from Bragg's law for the DFT cell and can differ from measured ones.

Structure:
```
data_Fe4O3F5
_chemical_formula_sum 'Fe8 O6 F10'
_space_group_name_H-M_alt 'P 1'
_space_group_IT_number 1
_cell_length_a 5.6480
_cell_length_b 4.7383
_cell_length_c 10.6770
_cell_angle_alpha 90.00
_cell_angle_beta 97.01
_cell_angle_gamma 90.00
loop_
_space_group_symop_operation_xyz
'x,y,z'
loop_
_atom_site_label
_atom_site_type_symbol
_atom_site_fract_x
_atom_site_fract_y
_atom_site_fract_z
Fe1 Fe 0.0000 0.2000 0.0000
Fe2 Fe 0.0000 0.8000 0.5000
Fe3 Fe 0.2382 0.2324 0.7532
Fe4 Fe 0.2382 0.7676 0.2532
Fe5 Fe 0.4858 0.2691 0.5303
Fe6 Fe 0.4858 0.7309 0.0303
Fe7 Fe 0.7381 0.2639 0.2672
Fe8 Fe 0.7381 0.7361 0.7672
O1 O 0.2120 0.0438 0.5947
O2 O 0.2120 0.9562 0.0947
O3 O 0.5109 0.4581 0.7068
O4 O 0.5109 0.5419 0.2068
O5 O 0.9696 0.0432 0.8327
O6 O 0.9696 0.9568 0.3327
F1 F 0.0063 0.4486 0.1832
F2 F 0.0063 0.5514 0.6832
F3 F 0.2588 0.4393 0.9335
F4 F 0.2588 0.5607 0.4335
F5 F 0.4804 0.0500 0.3476
F6 F 0.4804 0.9500 0.8476
F7 F 0.7172 0.0677 0.0880
F8 F 0.7172 0.9323 0.5880
F9 F 0.7858 0.4514 0.4439
F10 F 0.7858 0.5486 0.9439
```

The 8 most intense peaks (2θ from 10° to 90°), in order of rising 2θ:
3.345 Å, rel. 100; 2.649 Å, rel. 14; 2.634 Å, rel. 27; 2.613 Å, rel. 13; 1.768 Å, rel. 29; 1.755 Å, rel. 15; 1.747 Å, rel. 17; 1.672 Å, rel. 18